This entry pairs a crystal structure of Li2Cu2F7 with its calculated powder X-ray diffraction pattern. Radiation: copper Kα. Structure: a cell relaxed with PBE.
Neutral-atom scattering factors, no anomalous dispersion.

The 12 most intense peaks (10 to 80 degrees two-theta), most intense first:
- 20.30°, d 4.374, intensity 100
- 16.49°, d 5.375, intensity 86
- 30.39°, d 2.941, intensity 49
- 25.34°, d 3.514, intensity 47
- 40.52°, d 2.226, intensity 42
- 31.08°, d 2.877, intensity 28
- 64.88°, d 1.437, intensity 27
- 32.69°, d 2.740, intensity 26
- 13.59°, d 6.518, intensity 24
- 27.37°, d 3.259, intensity 23
- 53.88°, d 1.702, intensity 23
- 45.23°, d 2.005, intensity 22

Atomic structure:
a b c (Å): 13.0360 5.9001 7.0287
angles (deg): 90.00 90.00 90.00
Element x y z (fractional)
Li 0.0483 0.0917 0.0000
Li 0.1881 0.1637 0.4971
Li 0.3119 0.6637 0.9971
Li 0.4517 0.5917 0.5000
Li 0.5483 0.4083 0.0000
Li 0.6881 0.3363 0.4971
Li 0.8119 0.8363 0.9971
Li 0.9517 0.9083 0.5000
Cu 0.1033 0.6483 0.2658
Cu 0.1046 0.6302 0.7390
Cu 0.3954 0.1302 0.2390
Cu 0.3967 0.1483 0.7658
Cu 0.6033 0.8517 0.2658
Cu 0.6046 0.8698 0.7390
Cu 0.8954 0.3698 0.2390
Cu 0.8967 0.3517 0.7658
F 0.0362 0.3170 0.1927
F 0.0406 0.2959 0.7966
F 0.0938 0.7800 0.9927
F 0.1019 0.9049 0.4667
F 0.1202 0.4681 0.5014
F 0.2384 0.5858 0.2177
F 0.2406 0.5938 0.7730
F 0.2594 0.0938 0.2730
F 0.2616 0.0858 0.7177
F 0.3798 0.9681 0.0014
F 0.3981 0.4049 0.9667
F 0.4062 0.2800 0.4927
F 0.4594 0.7959 0.2966
F 0.4638 0.8170 0.6927
F 0.5362 0.1830 0.1927
F 0.5406 0.2041 0.7966
F 0.5938 0.7200 0.9927
F 0.6019 0.5951 0.4667
F 0.6202 0.0319 0.5014
F 0.7384 0.9142 0.2177
F 0.7406 0.9062 0.7730
F 0.7594 0.4062 0.2730
F 0.7616 0.4142 0.7177
F 0.8798 0.5319 0.0014
F 0.8981 0.0951 0.9667
F 0.9062 0.2200 0.4927
F 0.9594 0.7041 0.2966
F 0.9638 0.6830 0.6927